Starting from a GGA+U-relaxed structure, the powder diffractogram of Li2Ni3P4O14 was simulated for Cu Kα, 1.54184 Å.
No peak broadening, texture or thermal motion is included.

Principal peaks in the range 2θ = 10–80°, low angle first:
Position (°2θ)	Rel. int.
14.98	53
18.27	60
18.54	42
23.76	60
23.83	100
28.29	53

Atomic structure:
```
Li2Ni3P4O14
1.0
6.384 0.000 0.000
0.000 7.266 0.000
-1.070 0.000 13.060
Li Ni P O
4 6 8 28
Direct
0.038 0.000 0.029
0.432 0.564 0.600
0.568 0.064 0.400
0.962 0.500 0.971
0.078 0.201 0.399
0.223 0.197 0.725
0.315 0.298 0.098
0.685 0.798 0.902
0.777 0.697 0.275
0.922 0.701 0.601
0.129 0.796 0.421
0.146 0.824 0.832
0.359 0.514 0.307
0.418 0.499 0.886
0.582 0.999 0.114
0.641 0.014 0.693
0.854 0.324 0.168
0.871 0.296 0.579
0.005 0.255 0.090
0.105 0.752 0.724
0.109 0.329 0.595
0.161 0.652 0.329
0.181 0.031 0.842
0.187 0.698 0.523
0.257 0.972 0.406
0.273 0.425 0.963
0.328 0.331 0.362
0.339 0.505 0.191
0.348 0.015 0.079
0.368 0.421 0.779
0.368 0.725 0.876
0.445 0.110 0.646
0.555 0.610 0.354
0.632 0.225 0.124
0.632 0.921 0.221
0.652 0.515 0.921
0.661 0.005 0.809
0.672 0.831 0.638
0.727 0.925 0.037
0.743 0.472 0.594
0.813 0.198 0.477
0.819 0.531 0.158
0.839 0.152 0.671
0.891 0.829 0.405
0.895 0.252 0.276
0.995 0.755 0.910
```



Starting from a GGA+U-relaxed structure, the powder diffractogram of Mg14TiCoO16 was simulated for Cu Kα, 1.54184 Å.
No peak broadening, texture or thermal motion is included.

Principal peaks in the range 2θ = 10–80°, low angle first:
Position (°2θ)	Rel. int.
36.42	25
42.24	100
42.43	50
61.26	28
61.41	56
77.36	25

Atomic structure:
```
Mg14TiCoO16
1.0
8.559 0.000 0.000
0.000 8.559 0.000
0.000 0.000 4.261
Mg Ti Co O
14 1 1 16
Direct
0.000 0.245 0.000
0.000 0.500 0.500
0.000 0.755 0.000
0.243 0.243 0.500
0.243 0.757 0.500
0.245 0.000 0.000
0.245 0.500 0.000
0.500 0.000 0.500
0.500 0.245 0.000
0.500 0.755 0.000
0.755 0.000 0.000
0.755 0.500 0.000
0.757 0.243 0.500
0.757 0.757 0.500
0.500 0.500 0.500
0.000 0.000 0.500
0.000 0.000 0.000
0.000 0.263 0.500
0.000 0.500 0.000
0.000 0.737 0.500
0.251 0.251 0.000
0.251 0.749 0.000
0.256 0.500 0.500
0.263 0.000 0.500
0.500 0.000 0.000
0.500 0.256 0.500
0.500 0.500 0.000
0.500 0.744 0.500
0.737 0.000 0.500
0.744 0.500 0.500
0.749 0.251 0.000
0.749 0.749 0.000
```



Starting from a GGA+U-relaxed structure, the powder diffractogram of TlNi4P3O12 was simulated for Cu Kα, 1.54184 Å.
No peak broadening, texture or thermal motion is included.

Principal peaks in the range 2θ = 10–80°, low angle first:
Position (°2θ)	Rel. int.
21.20	29
23.65	100
28.26	37
28.50	61
30.82	31
35.57	63

Atomic structure:
```
TlNi4P3O12
1.0
3.162 -8.162 0.000
3.162 8.162 0.000
0.000 0.000 9.768
Tl Ni P O
2 8 6 24
Direct
0.026 0.974 0.500
0.974 0.026 0.000
0.047 0.454 0.467
0.378 0.622 0.767
0.380 0.620 0.231
0.454 0.047 0.967
0.546 0.953 0.467
0.620 0.380 0.731
0.622 0.378 0.267
0.953 0.546 0.967
0.180 0.820 0.253
0.200 0.800 0.678
0.466 0.534 0.477
0.534 0.466 0.977
0.800 0.200 0.178
0.820 0.180 0.753
0.048 0.365 0.134
0.062 0.331 0.799
0.194 0.806 0.095
0.219 0.781 0.836
0.225 0.393 0.412
0.268 0.732 0.329
0.289 0.711 0.605
0.331 0.062 0.299
0.365 0.048 0.634
0.393 0.225 0.912
0.445 0.555 0.933
0.471 0.529 0.635
0.529 0.471 0.135
0.555 0.445 0.433
0.607 0.775 0.412
0.635 0.952 0.134
0.669 0.938 0.799
0.711 0.289 0.105
0.732 0.268 0.829
0.775 0.607 0.912
0.781 0.219 0.336
0.806 0.194 0.595
0.938 0.669 0.299
0.952 0.635 0.634
```



Starting from a GGA+U-relaxed structure, the powder diffractogram of MnI2O4 was simulated for Cu Kα, 1.54184 Å.
No peak broadening, texture or thermal motion is included.

Principal peaks in the range 2θ = 10–80°, low angle first:
Position (°2θ)	Rel. int.
19.02	51
23.60	100
28.68	80
29.53	79
31.35	63
32.44	42

Atomic structure:
```
MnI2O4
1.0
6.166 0.000 0.000
0.000 7.540 0.000
-3.205 0.000 5.941
Mn I O
2 4 8
Direct
0.000 0.000 0.000
0.000 0.500 0.500
0.356 0.061 0.607
0.356 0.439 0.107
0.644 0.561 0.893
0.644 0.939 0.393
0.063 0.059 0.294
0.063 0.441 0.794
0.322 0.587 0.612
0.322 0.913 0.112
0.678 0.087 0.888
0.678 0.413 0.388
0.937 0.559 0.206
0.937 0.941 0.706
```



Starting from a GGA+U-relaxed structure, the powder diffractogram of Zn2Ni2O5 was simulated for Cu Kα, 1.54184 Å.
No peak broadening, texture or thermal motion is included.

Principal peaks in the range 2θ = 10–80°, low angle first:
Position (°2θ)	Rel. int.
34.19	46
34.47	100
34.71	35
49.55	49
61.39	22
72.68	15

Atomic structure:
```
Zn2Ni2O5
1.0
5.246 0.000 0.000
0.000 10.337 0.000
0.000 0.000 3.677
Zn Ni O
4 4 10
Direct
0.231 0.099 0.000
0.269 0.599 0.000
0.731 0.401 0.000
0.769 0.901 0.000
0.226 0.863 0.500
0.274 0.363 0.500
0.726 0.637 0.500
0.774 0.137 0.500
0.000 0.500 0.500
0.151 0.181 0.500
0.191 0.902 0.000
0.309 0.402 0.000
0.349 0.681 0.500
0.500 0.000 0.500
0.651 0.319 0.500
0.691 0.598 0.000
0.809 0.098 0.000
0.849 0.819 0.500
```



Starting from a GGA+U-relaxed structure, the powder diffractogram of P2WO8 was simulated for Cu Kα, 1.54184 Å.
No peak broadening, texture or thermal motion is included.

Principal peaks in the range 2θ = 10–80°, low angle first:
Position (°2θ)	Rel. int.
15.33	68
18.65	71
22.39	80
22.68	93
25.59	81
30.72	100

Atomic structure:
```
P2WO8
1.0
8.096 -2.623 0.000
8.096 2.623 0.000
-1.359 0.000 6.865
P W O
4 2 16
Direct
0.162 0.162 0.116
0.164 0.164 0.546
0.836 0.836 0.454
0.838 0.838 0.884
0.393 0.393 0.200
0.607 0.607 0.800
0.116 0.644 0.994
0.119 0.651 0.390
0.129 0.129 0.314
0.256 0.256 0.141
0.256 0.256 0.612
0.349 0.881 0.610
0.356 0.884 0.006
0.498 0.498 0.758
0.502 0.502 0.242
0.644 0.116 0.994
0.651 0.119 0.390
0.744 0.744 0.388
0.744 0.744 0.859
0.871 0.871 0.686
0.881 0.349 0.610
0.884 0.356 0.006
```



Starting from a GGA+U-relaxed structure, the powder diffractogram of Rb2V4O9 was simulated for Cu Kα, 1.54184 Å.
No peak broadening, texture or thermal motion is included.

Principal peaks in the range 2θ = 10–80°, low angle first:
Position (°2θ)	Rel. int.
23.33	49
28.02	100
30.94	60
39.11	18
47.30	22
53.26	18

Atomic structure:
```
Rb2V4O9
1.0
5.781 0.000 0.000
0.000 5.781 0.000
0.000 0.000 15.244
Rb V O
4 8 18
Direct
0.235 0.256 0.000
0.256 0.765 0.500
0.744 0.235 0.500
0.765 0.744 0.000
0.213 0.351 0.300
0.213 0.351 0.700
0.351 0.787 0.200
0.351 0.787 0.800
0.649 0.213 0.200
0.649 0.213 0.800
0.787 0.649 0.300
0.787 0.649 0.700
0.122 0.683 0.287
0.122 0.683 0.713
0.270 0.728 0.098
0.270 0.728 0.902
0.272 0.270 0.402
0.272 0.270 0.598
0.317 0.122 0.213
0.317 0.122 0.787
0.500 0.500 0.250
0.500 0.500 0.750
0.683 0.878 0.213
0.683 0.878 0.787
0.728 0.730 0.402
0.728 0.730 0.598
0.730 0.272 0.098
0.730 0.272 0.902
0.878 0.317 0.287
0.878 0.317 0.713
```